This entry pairs a crystal structure of CaPrPu2N4 with its theoretical powder diffractogram. Radiation: a wavelength of 1.5418 Å. Structure: a cell relaxed with PBE.
Peak positions follow from Bragg's law for the DFT cell and can differ from measured ones.

Top 10 peaks for 10 to 90 degrees two-theta, by angle:
(hkl)	2θ (°)	Rel. int.
0 0 1	17.20	22
0 2 0	25.38	18
2 0 0	30.83	100
0 0 2	34.80	24
2 2 -1	36.21	46
2 2 1	51.10	33
0 4 0	52.14	16
2 0 2	59.94	17
2 4 0	61.80	30
4 0 0	64.22	16

```
data_CaPrPu2N4
_chemical_formula_sum 'Ca2 Pr2 Pu4 N8'
_cell_length_a 7.017
_cell_length_b 7.017
_cell_length_c 6.236
_cell_angle_alpha 90.00
_cell_angle_beta 124.23
_cell_angle_gamma 90.00
_symmetry_space_group_name_H-M 'C 1 m 1'
_symmetry_Int_Tables_number 8
loop_
_symmetry_equiv_pos_as_xyz
'x,y,z'
'x,-y,z'
'x+1/2,y+1/2,z'
'x+1/2,-y+1/2,z'
loop_
_atom_site_label
_atom_site_fract_x
_atom_site_fract_y
_atom_site_fract_z
Ca1 0.000 0.000 0.000
Pr1 0.495 0.000 0.989
Pu1 0.491 0.250 0.481
N1 0.249 0.500 0.501
N2 0.252 0.000 0.505
N3 0.280 0.250 0.061
```